# H4AuBr3N
Theoretical powder XRD pattern, copper Kα. Input: DFT lattice parameters and positions (PBE).
Intensities are scaled so that the largest is 100.

Largest 12 diffraction maxima, sorted by position, 2θ from 10° to 90°:
2θ (°)	intensity	h k l
13.98	100.0	1 0 -1
14.70	77.2	1 0 1
14.80	63.6	0 0 2
19.51	43.8	0 2 0
23.27	23.5	1 1 2
23.43	55.0	1 2 -1
25.72	46.1	1 2 1
26.38	35.2	0 2 2
30.31	25.9	1 -2 3
33.94	21.3	2 -2 2
42.85	17.6	-3 2 1
46.53	19.7	2 -4 0

Lattice parameters (Å, degrees): 7.221 9.215 12.136 98.87 93.00 91.25
Space group P1 (No. 1)
Symmetry-distinct sites (fractional):
H 0.000 0.000 0.000 [1 per cell]
H 0.003 0.744 0.350 [1 per cell]
H 0.006 0.150 0.934 [1 per cell]
H 0.174 0.653 0.278 [1 per cell]
H 0.193 0.110 0.013 [1 per cell]
H 0.441 0.661 0.806 [1 per cell]
H 0.467 0.163 0.555 [1 per cell]
H 0.472 0.116 0.413 [1 per cell]
H 0.496 0.488 0.822 [1 per cell]
H 0.607 0.258 0.485 [1 per cell]
H 0.628 0.577 0.744 [1 per cell]
H 0.634 0.632 0.885 [1 per cell]
H 0.658 0.083 0.496 [1 per cell]
H 0.970 0.565 0.289 [1 per cell]
H 0.979 0.699 0.209 [1 per cell]
H 0.997 0.170 0.075 [1 per cell]
Au 0.047 0.371 0.649 [1 per cell]
Au 0.057 0.872 0.653 [1 per cell]
Au 0.539 0.385 0.148 [1 per cell]
Au 0.559 0.888 0.149 [1 per cell]
Br 0.180 0.801 0.826 [1 per cell]
Br 0.241 0.451 0.506 [1 per cell]
Br 0.262 0.473 0.053 [1 per cell]
Br 0.305 0.006 0.250 [1 per cell]
Br 0.315 0.250 0.728 [1 per cell]
Br 0.513 0.583 0.308 [1 per cell]
Br 0.554 0.180 0.991 [1 per cell]
Br 0.780 0.494 0.571 [1 per cell]
Br 0.813 0.771 0.046 [1 per cell]
Br 0.829 0.304 0.238 [1 per cell]
Br 0.850 0.289 0.793 [1 per cell]
Br 0.935 0.947 0.481 [1 per cell]
N 0.032 0.665 0.282 [1 per cell]
N 0.049 0.108 0.006 [1 per cell]
N 0.550 0.154 0.487 [1 per cell]
N 0.551 0.590 0.815 [1 per cell]


# TlCu4I8
Theoretical powder XRD pattern, copper Kα. Input: DFT lattice parameters and positions (PBE).
Intensities are scaled so that the largest is 100.

Largest 12 diffraction maxima, sorted by position, 2θ from 10° to 90°:
2θ (°)	intensity	h k l
12.71	16.7	0 0 3
15.00	11.2	0 1 2
25.25	8.2	0 2 1
26.32	17.9	2 0 2
30.27	100.0	0 2 4
42.86	33.6	2 0 8
43.81	36.1	2 2 0
54.18	17.9	4 0 4
62.95	9.9	0 4 8
70.74	11.6	2 2 12
72.13	14.2	2 4 4
79.84	9.4	4 2 8

Lattice parameters (Å, degrees): 8.2655 8.2655 20.9014 90.00 90.00 120.00
Space group R-3m (No. 166, hexagonal axes)
Symmetry-distinct sites (fractional):
Tl 0.0000 0.0000 0.0000 [3 per cell]
Cu 0.0000 0.0000 0.5000 [3 per cell]
Cu 0.0000 0.5000 0.0000 [9 per cell]
I 0.0000 0.0000 0.2689 [6 per cell]
I 0.0210 0.5105 0.2459 [18 per cell]


# TmPuH8Rh2
Theoretical powder XRD pattern, copper Kα. Input: DFT lattice parameters and positions (PBE).
Intensities are scaled so that the largest is 100.

Largest 12 diffraction maxima, sorted by position, 2θ from 10° to 90°:
2θ (°)	intensity	h k l
14.18	8.6	0 0 3
24.67	16.1	0 1 2
29.76	100.0	1 0 4
39.92	49.2	1 1 0
45.12	28.0	0 1 8
49.83	7.7	1 1 6
50.58	23.5	0 2 4
61.80	10.8	2 0 8
66.30	20.9	2 1 4
72.50	8.5	3 0 0
73.78	11.2	1 1 12
76.15	12.5	1 2 8

Lattice parameters (Å, degrees): 4.5165 4.5165 18.7357 90.00 90.00 120.00
Space group R-3m (No. 166, hexagonal axes)
Symmetry-distinct sites (fractional):
Tm 0.0000 0.0000 0.0000 [3 per cell]
Pu 0.0000 0.0000 0.5000 [3 per cell]
H 0.0000 0.0000 0.1391 [6 per cell]
H 0.0379 0.5190 0.0538 [18 per cell]
Rh 0.0000 0.0000 0.2336 [6 per cell]


# TbNd3Er5
Theoretical powder XRD pattern, copper Kα. Input: DFT lattice parameters and positions (PBE).
Intensities are scaled so that the largest is 100.

Largest 12 diffraction maxima, sorted by position, 2θ from 10° to 90°:
2θ (°)	intensity	h k l
27.87	30.7	3 1 -3
28.14	17.0	0 2 0
30.10	42.7	2 2 0
31.20	81.2	1 1 3
31.80	100.0	6 0 0
31.97	76.4	5 1 -3
32.41	52.9	2 2 1
33.87	22.0	0 0 4
34.39	51.5	4 2 -1
35.40	24.9	4 2 0
55.75	35.7	7 1 3
57.29	28.1	2 0 6

Lattice parameters (Å, degrees): 18.323 6.343 11.491 90.00 112.86 90.00
Space group C2/c (No. 15)
Symmetry-distinct sites (fractional):
Tb 0.000 0.093 0.250 [4 per cell]
Nd 0.000 0.500 0.000 [4 per cell]
Nd 0.173 0.315 0.370 [8 per cell]
Er 0.000 0.384 0.750 [4 per cell]
Er 0.160 0.194 0.013 [8 per cell]
Er 0.168 0.205 0.715 [8 per cell]